(1)
Starting from a PBE-relaxed structure, the XRD peak list of Ac2LaPr3 was simulated for Cu Kα X-rays.
Kinematic intensities with the Lorentz-polarization factor, no thermal factor.

Most intense lines, 15 to 90 degrees two-theta, in order of rising 2θ:
| d/Å | intensity |
| --- | --- |
| 3.689 | 11 |
| 3.033 | 100 |
| 3.019 | 81 |
| 2.343 | 20 |
| 2.140 | 31 |
| 1.751 | 32 |
| 1.748 | 22 |
| 1.576 | 29 |
| 1.270 | 14 |
| 1.147 | 10 |

Cell: 7.378 10.494 6.073 Å, 90.00 90.00 90.00°
Space group Pnnm (No. 58)
Unique sites:
Ac: 0.249 0.167 0.000
La: 0.000 0.500 0.000
Pr: 0.000 0.000 0.500
Pr: 0.250 0.333 0.500

(2)
Starting from a PBE-relaxed structure, the XRD peak list of Ac4LaPr7 was simulated for Cu Kα X-rays.
Kinematic intensities with the Lorentz-polarization factor, no thermal factor.

Most intense lines, 15 to 90 degrees two-theta, in order of rising 2θ:
| d/Å | intensity |
| --- | --- |
| 3.445 | 38 |
| 3.177 | 100 |
| 3.060 | 33 |
| 3.012 | 22 |
| 2.975 | 65 |
| 2.935 | 51 |
| 2.872 | 59 |
| 2.797 | 57 |
| 2.204 | 27 |
| 1.792 | 19 |

Cell: 12.549 6.355 13.467 Å, 90.00 115.86 90.00°
Space group C2/m (No. 12)
Unique sites:
Ac: 0.062 0.000 0.327
Ac: 0.144 0.500 0.776
La: 0.000 0.500 0.000
Pr: 0.000 0.000 0.000
Pr: 0.132 0.500 0.500
Pr: 0.215 0.000 0.924
Pr: 0.247 0.000 0.679

(3)
Starting from a PBE-relaxed structure, the XRD peak list of Ac2La4Pr5 was simulated for Cu Kα X-rays.
Kinematic intensities with the Lorentz-polarization factor, no thermal factor.

Most intense lines, 15 to 90 degrees two-theta, in order of rising 2θ:
| d/Å | intensity |
| --- | --- |
| 3.040 | 18 |
| 3.027 | 100 |
| 3.006 | 64 |
| 2.969 | 50 |
| 2.714 | 10 |
| 2.138 | 13 |
| 1.740 | 20 |
| 1.729 | 12 |
| 1.723 | 11 |
| 1.682 | 14 |

Cell: 6.926 20.303 6.016 Å, 90.00 90.00 90.00°
Space group Pbam (No. 55)
Unique sites:
Ac: 0.111 0.198 0.000
La: 0.107 0.374 0.000
La: 0.211 0.016 0.000
Pr: 0.000 0.500 0.500
Pr: 0.041 0.906 0.500
Pr: 0.063 0.706 0.500

(4)
Starting from a PBE-relaxed structure, the XRD peak list of Ac3La8Pr was simulated for Cu Kα X-rays.
Kinematic intensities with the Lorentz-polarization factor, no thermal factor.

Most intense lines, 15 to 90 degrees two-theta, in order of rising 2θ:
| d/Å | intensity |
| --- | --- |
| 4.209 | 24 |
| 3.002 | 11 |
| 2.986 | 100 |
| 2.969 | 40 |
| 2.659 | 14 |
| 2.104 | 13 |
| 1.880 | 15 |
| 1.727 | 10 |
| 1.722 | 13 |
| 1.494 | 13 |

Cell: 6.840 11.921 12.008 Å, 90.00 90.00 90.00°
Space group Immm (No. 71)
Unique sites:
Ac: 0.000 0.000 0.000
Ac: 0.000 0.243 0.500
La: 0.000 0.254 0.175
La: 0.224 0.000 0.272
Pr: 0.000 0.500 0.000

(5)
Starting from a PBE-relaxed structure, the XRD peak list of Ac3LaPr6 was simulated for Cu Kα X-rays.
Kinematic intensities with the Lorentz-polarization factor, no thermal factor.

Most intense lines, 15 to 90 degrees two-theta, in order of rising 2θ:
| d/Å | intensity |
| --- | --- |
| 4.173 | 43 |
| 3.614 | 40 |
| 3.265 | 45 |
| 3.089 | 100 |
| 2.976 | 49 |
| 2.841 | 23 |
| 2.752 | 27 |
| 2.732 | 27 |
| 2.644 | 50 |
| 1.729 | 23 |

Cell: 14.4567 14.4567 6.7646 Å, 90.00 90.00 120.00°
Space group R3m (No. 160, hexagonal axes)
Unique sites:
Ac: 0.2117 0.4233 0.0000
La: 0.0000 0.0000 0.5235
Pr: 0.0015 0.5008 0.1631
Pr: 0.0780 0.1560 0.9508

(6)
Starting from a PBE-relaxed structure, the XRD peak list of Ac3LaPr8 was simulated for Cu Kα X-rays.
Kinematic intensities with the Lorentz-polarization factor, no thermal factor.

Most intense lines, 15 to 90 degrees two-theta, in order of rising 2θ:
| d/Å | intensity |
| --- | --- |
| 3.982 | 30 |
| 3.757 | 16 |
| 3.114 | 50 |
| 3.093 | 34 |
| 3.063 | 100 |
| 3.048 | 42 |
| 2.754 | 19 |
| 2.671 | 35 |
| 2.580 | 29 |
| 1.644 | 33 |

Cell: 6.764 9.492 14.744 Å, 90.00 90.00 90.00°
Space group I222 (No. 23)
Unique sites:
Ac: 0.000 0.000 0.000
Ac: 0.000 0.500 0.372
La: 0.000 0.000 0.500
Pr: 0.129 0.342 0.102
Pr: 0.141 0.148 0.289

(7)
Starting from a PBE-relaxed structure, the XRD peak list of AcLaPr14 was simulated for Cu Kα X-rays.
Kinematic intensities with the Lorentz-polarization factor, no thermal factor.

Most intense lines, 15 to 90 degrees two-theta, in order of rising 2θ:
| d/Å | intensity |
| --- | --- |
| 3.247 | 23 |
| 3.048 | 26 |
| 2.866 | 100 |
| 2.222 | 16 |
| 1.875 | 20 |
| 1.723 | 22 |
| 1.597 | 23 |
| 1.569 | 16 |
| 1.204 | 9 |
| 1.183 | 9 |

Cell: 12.192 7.507 12.976 Å, 90.00 90.00 90.00°
Space group Amm2 (No. 38)
Unique sites:
Ac: 0.000 0.000 0.000
La: 0.000 0.000 0.500
Pr: 0.000 0.249 0.251
Pr: 0.251 0.000 0.668
Pr: 0.252 0.000 0.169
Pr: 0.253 0.249 0.417
Pr: 0.500 0.000 0.001
Pr: 0.500 0.000 0.501
Pr: 0.500 0.250 0.250

(8)
Starting from a PBE-relaxed structure, the XRD peak list of Ac2La3Pr8 was simulated for Cu Kα X-rays.
Kinematic intensities with the Lorentz-polarization factor, no thermal factor.

Most intense lines, 15 to 90 degrees two-theta, in order of rising 2θ:
| d/Å | intensity |
| --- | --- |
| 3.261 | 59 |
| 3.157 | 17 |
| 3.053 | 100 |
| 2.733 | 63 |
| 2.720 | 35 |
| 1.929 | 27 |
| 1.695 | 13 |
| 1.628 | 18 |
| 1.605 | 15 |
| 1.527 | 14 |

Cell: 24.448 7.376 5.441 Å, 90.00 90.15 90.00°
Space group C2/m (No. 12)
Unique sites:
Ac: 0.236 0.000 0.499
La: 0.000 0.236 0.000
La: 0.000 0.500 0.500
Pr: 0.079 0.000 0.499
Pr: 0.119 0.500 0.497
Pr: 0.166 0.246 0.999

(9)
Starting from a PBE-relaxed structure, the XRD peak list of Ac7La3Pr was simulated for Cu Kα X-rays.
Kinematic intensities with the Lorentz-polarization factor, no thermal factor.

Most intense lines, 15 to 90 degrees two-theta, in order of rising 2θ:
| d/Å | intensity |
| --- | --- |
| 3.708 | 21 |
| 3.084 | 33 |
| 3.064 | 100 |
| 3.053 | 92 |
| 3.034 | 28 |
| 2.986 | 62 |
| 2.931 | 39 |
| 2.887 | 34 |
| 1.854 | 15 |
| 1.841 | 19 |

Cell: 7.055 7.326 9.420 Å, 100.43 97.17 97.37°
Space group P-1 (No. 2)
Unique sites:
Ac: 0.000 0.000 0.000
Ac: 0.064 0.220 0.646
Ac: 0.318 0.429 0.328
Ac: 0.498 0.233 0.921
La: 0.212 0.738 0.707
La: 0.500 0.000 0.500
Pr: 0.000 0.500 0.000

(10)
Starting from a PBE-relaxed structure, the XRD peak list of Ac8La3Pr3 was simulated for Cu Kα X-rays.
Kinematic intensities with the Lorentz-polarization factor, no thermal factor.

Most intense lines, 15 to 90 degrees two-theta, in order of rising 2θ:
| d/Å | intensity |
| --- | --- |
| 4.245 | 16 |
| 3.979 | 16 |
| 3.173 | 20 |
| 3.117 | 46 |
| 3.097 | 22 |
| 3.088 | 34 |
| 3.045 | 100 |
| 2.844 | 32 |
| 2.696 | 22 |
| 1.786 | 16 |

Cell: 6.912 9.802 9.836 Å, 90.63 107.73 107.65°
Space group P-1 (No. 2)
Unique sites:
Ac: 0.024 0.040 0.307
Ac: 0.024 0.304 0.037
Ac: 0.470 0.878 0.361
Ac: 0.471 0.362 0.877
La: 0.001 0.624 0.377
La: 0.500 0.500 0.500
Pr: 0.391 0.730 0.731
Pr: 0.500 0.000 0.000

(11)
Starting from a PBE-relaxed structure, the XRD peak list of Ac3La2PrSe6 was simulated for Cu Kα X-rays.
Kinematic intensities with the Lorentz-polarization factor, no thermal factor.

Most intense lines, 15 to 90 degrees two-theta, in order of rising 2θ:
| d/Å | intensity |
| --- | --- |
| 3.577 | 28 |
| 3.098 | 100 |
| 2.192 | 51 |
| 2.188 | 25 |
| 1.869 | 11 |
| 1.790 | 20 |
| 1.549 | 13 |
| 1.387 | 18 |
| 1.384 | 18 |
| 1.266 | 11 |

Cell: 7.573 13.152 7.602 Å, 90.00 109.52 90.00°
Space group C2/m (No. 12)
Unique sites:
Ac: 0.000 0.000 0.000
Ac: 0.000 0.333 0.000
La: 0.000 0.166 0.500
Pr: 0.000 0.500 0.500
Se: 0.246 0.334 0.739
Se: 0.248 0.000 0.740

(12)
Starting from a PBE-relaxed structure, the XRD peak list of Ac4LaPrSe8 was simulated for Cu Kα X-rays.
Kinematic intensities with the Lorentz-polarization factor, no thermal factor.

Most intense lines, 15 to 90 degrees two-theta, in order of rising 2θ:
| d/Å | intensity |
| --- | --- |
| 4.481 | 35 |
| 3.888 | 78 |
| 3.862 | 87 |
| 3.812 | 49 |
| 3.197 | 93 |
| 2.463 | 48 |
| 2.282 | 100 |
| 2.241 | 96 |
| 1.599 | 32 |
| 1.309 | 32 |

Cell: 9.1260 9.1260 21.7611 Å, 90.00 90.00 120.00°
Space group R3m (No. 160, hexagonal axes)
Unique sites:
Ac: 0.0000 0.0000 0.0000
Ac: 0.1686 0.3372 0.2112
La: 0.0000 0.0000 0.7568
Pr: 0.0000 0.0000 0.3809
Se: 0.0000 0.0000 0.1363
Se: 0.0000 0.0000 0.6240
Se: 0.0190 0.5095 0.1272
Se: 0.1811 0.3622 0.9614